Theoretical powder X-ray diffraction pattern of Ti3Ni20B6 for Cu Kα, from a structure optimized by DFT (GGA-PBE).
Peak positions follow from Bragg's law for the DFT cell and can differ from measured ones.

Most intense lines, 2θ from 15° to 90°, by angle:
d_spacing  Position (°2θ)  intensity
2.341  38.5  22
2.137  42.3  22
2.015  45.0  100
1.851  49.2  18
1.770  51.6  31
1.234  77.3  20

Structural model:
```
Ti3Ni20B6
1.0
0.0000 5.2349 5.2349
5.2349 0.0000 5.2349
5.2349 5.2349 0.0000
Ti Ni B
3 20 6
Direct
0.0000 0.0000 0.0000
0.2500 0.2500 0.2500
0.7500 0.7500 0.7500
0.0000 0.0000 0.3415
0.0000 0.0000 0.6585
0.0000 0.3415 0.0000
0.0000 0.3415 0.6585
0.0000 0.6585 0.0000
0.0000 0.6585 0.3415
0.1494 0.6169 0.6169
0.3415 0.0000 0.0000
0.3415 0.0000 0.6585
0.3415 0.6585 0.0000
0.3831 0.3831 0.3831
0.3831 0.3831 0.8506
0.3831 0.8506 0.3831
0.6169 0.1494 0.6169
0.6169 0.6169 0.1494
0.6169 0.6169 0.6169
0.6585 0.0000 0.0000
0.6585 0.0000 0.3415
0.6585 0.3415 0.0000
0.8506 0.3831 0.3831
0.2687 0.2687 0.7313
0.2687 0.7313 0.2687
0.2687 0.7313 0.7313
0.7313 0.2687 0.2687
0.7313 0.2687 0.7313
0.7313 0.7313 0.2687
```